Theoretical XRD peak list
Compound: Li5Fe5O12
Radiation: copper Kα
Structure: a crystal structure in the Materials Project, relaxed with PBE+U
Kinematic intensities with the Lorentz-polarization factor, no thermal factor.

The 10 most intense peaks (2θ from 10° to 80°), by angle:
d/Å	Position (°2θ)	Rel. int.
4.303	20.64	96
4.261	20.85	100
3.904	22.78	24
3.189	27.98	52
3.157	28.27	52
2.190	41.21	69
2.045	44.29	61
2.019	44.90	60
1.671	54.97	21
1.437	64.91	31

Cell and atoms:
```
data_Li5Fe5O12
_chemical_formula_sum 'Li10 Fe10 O24'
_cell_length_a 5.100
_cell_length_b 9.119
_cell_length_c 9.462
_cell_angle_alpha 83.31
_cell_angle_beta 85.30
_cell_angle_gamma 85.92
_space_group_name_H-M_alt 'P 1'
_space_group_IT_number 1
loop_
_space_group_symop_operation_xyz
'x,y,z'
loop_
_atom_site_label
_atom_site_fract_x
_atom_site_fract_y
_atom_site_fract_z
_atom_site_occupancy
Li1 0.000 0.000 0.000 1
Li2 0.013 0.352 0.986 1
Li3 0.101 0.136 0.238 1
Li4 0.377 0.050 0.747 1
Li5 0.460 0.826 0.009 1
Li6 0.492 0.501 0.991 1
Li7 0.582 0.640 0.243 1
Li8 0.624 0.300 0.240 1
Li9 0.845 0.883 0.755 1
Li10 0.874 0.541 0.748 1
Fe1 0.114 0.473 0.244 1
Fe2 0.215 0.930 0.492 1
Fe3 0.239 0.256 0.497 1
Fe4 0.360 0.707 0.749 1
Fe5 0.479 0.179 0.994 1
Fe6 0.628 0.966 0.243 1
Fe7 0.699 0.429 0.501 1
Fe8 0.753 0.757 0.494 1
Fe9 0.869 0.211 0.753 1
Fe10 0.968 0.679 0.999 1
O1 0.054 0.763 0.611 1
O2 0.071 0.086 0.625 1
O3 0.159 0.834 0.882 1
O4 0.172 0.556 0.866 1
O5 0.178 0.181 0.883 1
O6 0.264 0.631 0.131 1
O7 0.309 0.320 0.115 1
O8 0.347 0.008 0.110 1
O9 0.377 0.097 0.380 1
O10 0.409 0.429 0.372 1
O11 0.461 0.811 0.362 1
O12 0.512 0.876 0.633 1
O13 0.552 0.261 0.606 1
O14 0.575 0.588 0.620 1
O15 0.668 0.690 0.876 1
O16 0.688 0.332 0.885 1
O17 0.690 0.055 0.857 1
O18 0.771 0.133 0.133 1
O19 0.785 0.816 0.111 1
O20 0.832 0.503 0.113 1
O21 0.871 0.588 0.385 1
O22 0.908 0.934 0.374 1
O23 0.946 0.310 0.360 1
O24 0.997 0.375 0.629 1
```